No. 1
Structure and theoretical powder XRD pattern of Sb5Ir3Au (a structure optimized by DFT (GGA-PBE); CuKα).

Peak list (6 most intense, 5° ≤ 2θ ≤ 70°, in order of falling intensity)
2θ (°)	d/Å	I_rel	(hkl)
43.99	2.058	1000	2 0 2
11.33	7.811	532	0 0 1
32.00	2.797	373	1 1 0
38.93	2.313	343	2 0 1
29.38	3.040	297	1 0 2
37.12	2.422	275	2 0 0

Crystal structure
```
data_Sb5Ir3Au
_chemical_formula_sum 'Sb5 Ir3 Au1'
_space_group_name_H-M_alt 'P 6/m m m'
_space_group_IT_number 191
_space_group_name_Hall '-P 6 2'
_cell_length_a 5.5931
_cell_length_b 5.5931
_cell_length_c 7.8110
_cell_angle_alpha 90.00
_cell_angle_beta 90.00
_cell_angle_gamma 120.00
loop_
_atom_site_label
_atom_site_fract_x
_atom_site_fract_y
_atom_site_fract_z
_atom_site_occupancy
Sb1 0.0000 0.0000 0.0000 1
Sb2 0.3333 0.6667 0.2869 1
Ir1 0.0000 0.5000 0.0000 1
Au1 0.0000 0.0000 0.5000 1
```


No. 2
Structure and theoretical powder XRD pattern of Li2PaCl6 (a structure optimized by DFT (GGA-PBE); CuKα).

Peak list (6 most intense, 5° ≤ 2θ ≤ 70°, in order of falling intensity)
2θ (°)	d/Å	I_rel	(hkl)
16.24	5.459	1000	1 0 1
20.28	4.380	439	1 1 0
40.10	2.249	387	2 1 3
33.26	2.694	382	2 1 1
25.52	3.490	369	1 1 2
15.34	5.777	275	0 0 2

Crystal structure
```
data_Li2PaCl6
_chemical_formula_sum 'Li4 Pa2 Cl12'
_space_group_name_H-M_alt 'P 42/m n m'
_space_group_IT_number 136
_space_group_name_Hall '-P 4n 2n'
_cell_length_a 6.194
_cell_length_b 6.194
_cell_length_c 11.554
_cell_angle_alpha 90.00
_cell_angle_beta 90.00
_cell_angle_gamma 90.00
loop_
_atom_site_label
_atom_site_fract_x
_atom_site_fract_y
_atom_site_fract_z
_atom_site_occupancy
Li1 0.000 0.000 0.166 1
Pa1 0.000 0.000 0.500 1
Cl1 0.196 0.196 0.000 1
Cl2 0.202 0.202 0.329 1
```


No. 3
Structure and theoretical powder XRD pattern of HoSc2O4 (a structure optimized by DFT (GGA-PBE); CuKα).

Peak list (6 most intense, 5° ≤ 2θ ≤ 70°, in order of falling intensity)
2θ (°)	d/Å	I_rel	(hkl)
32.79	2.731	1000	3 1 1
27.86	3.203	826	2 2 0
52.49	1.743	383	5 1 1
57.56	1.601	355	4 4 0
49.28	1.849	337	4 2 2
16.95	5.230	236	1 1 1

Crystal structure
Cell: 9.058 9.058 9.058 Å, 90.00 90.00 90.00°
Space group Fd-3m (No. 227, origin choice 2)
Inequivalent atoms, fractional coordinates:
Ho  0.125  0.125  0.125 [8 per cell]
Sc  0.000  0.000  0.500 [16 per cell]
O  0.011  0.011  0.739 [32 per cell]


No. 4
Structure and theoretical powder XRD pattern of Ba4Nd4Zn3PtO15 (a structure optimized by DFT (GGA-PBE); CuKα).

Peak list (6 most intense, 5° ≤ 2θ ≤ 70°, in order of falling intensity)
2θ (°)	d/Å	I_rel	(hkl)
30.42	2.938	1000	2 2 0
37.46	2.401	277	3 0 2
31.66	2.826	252	2 0 2
49.01	1.859	184	4 1 2
54.09	1.696	114	6 0 0
44.49	2.036	101	4 0 2

Crystal structure
```
data_Ba4Nd4Zn3PtO15
_chemical_formula_sum 'Ba8 Nd8 Zn6 Pt2 O30'
_space_group_name_H-M_alt 'P 63 m c'
_space_group_IT_number 186
_space_group_name_Hall 'P 6c -2c'
_cell_length_a 11.7470
_cell_length_b 11.7470
_cell_length_c 6.7974
_cell_angle_alpha 90.00
_cell_angle_beta 90.00
_cell_angle_gamma 120.00
loop_
_atom_site_label
_atom_site_fract_x
_atom_site_fract_y
_atom_site_fract_z
_atom_site_occupancy
Ba1 0.1722 0.3444 0.0000 1
Ba2 0.3333 0.6667 0.6825 1
Nd1 0.0000 0.0000 0.1724 1
Nd2 0.0465 0.5232 0.3465 1
Zn1 0.1707 0.3413 0.5175 1
Pt1 0.3333 0.6667 0.1595 1
O1 0.0562 0.3935 0.6458 1
O2 0.0838 0.1675 0.4044 1
O3 0.1662 0.5831 0.9982 1
O4 0.2507 0.5014 0.3331 1
```